Simulated XRD peak list
Compound: RbTl2CoCl6
Radiation: Cu Kα
Structure: a DFT-relaxed cell (GGA-PBE, Alexandria)
Kinematic intensities with the Lorentz-polarization factor, no thermal factor.

Atomic structure:
a = 7.0034 Å, b = 8.0678 Å, c = 12.5024 Å
α = 90.00°, β = 122.56°, γ = 90.00°
Positions (direct):
Rb  0.0000  0.0000  0.0000
Rb  0.0000  0.5000  0.5000
Tl  0.2124  0.0475  0.7346
Tl  0.2124  0.4525  0.2346
Tl  0.7876  0.5475  0.7654
Tl  0.7876  0.9525  0.2654
Co  0.5000  0.0000  0.5000
Co  0.5000  0.5000  0.0000
Cl  0.2107  0.1498  0.4840
Cl  0.2107  0.3502  0.9840
Cl  0.2731  0.7298  0.9250
Cl  0.2731  0.7702  0.4250
Cl  0.3871  0.0724  0.2984
Cl  0.3871  0.4276  0.7984
Cl  0.6129  0.5724  0.2016
Cl  0.6129  0.9276  0.7016
Cl  0.7269  0.2298  0.5750
Cl  0.7269  0.2702  0.0750
Cl  0.7893  0.6498  0.0160
Cl  0.7893  0.8502  0.5160

Top 6 peaks for 10° ≤ 2θ ≤ 80°, sorted by position:
| d_spacing | two_theta | I (rel.) | hkl |
| --- | --- | --- | --- |
| 5.281 | 16.79 | 38 | 0 0 2 |
| 4.034 | 22.04 | 45 | 0 2 0 |
| 3.769 | 23.60 | 100 | 1 1 1 |
| 3.696 | 24.08 | 88 | 1 1 -3 |
| 3.500 | 25.45 | 38 | 2 0 -2 |
| 2.644 | 33.90 | 51 | 2 2 -2 |


Simulated XRD peak list
Compound: Rb3TlCo2Cl8
Radiation: Cu Kα
Structure: a DFT-relaxed cell (GGA-PBE, Alexandria)
Kinematic intensities with the Lorentz-polarization factor, no thermal factor.

Atomic structure:
a = 7.6720 Å, b = 7.6720 Å, c = 9.4377 Å
α = 90.00°, β = 90.00°, γ = 120.00°
Positions (direct):
Rb  0.0000  0.0000  0.0000
Rb  0.3333  0.6667  0.6301
Rb  0.6667  0.3333  0.3699
Tl  0.0000  0.0000  0.5000
Co  0.3333  0.6667  0.1967
Co  0.6667  0.3333  0.8033
Cl  0.1769  0.3537  0.2929
Cl  0.1769  0.8231  0.2929
Cl  0.3333  0.6667  0.9632
Cl  0.3537  0.1769  0.7071
Cl  0.6463  0.8231  0.2929
Cl  0.6667  0.3333  0.0368
Cl  0.8231  0.1769  0.7071
Cl  0.8231  0.6463  0.7071

Top 6 peaks for 10° ≤ 2θ ≤ 80°, sorted by position:
| d_spacing | two_theta | I (rel.) | hkl |
| --- | --- | --- | --- |
| 5.433 | 16.32 | 13 | 1 0 1 |
| 3.840 | 23.16 | 100 | 1 1 0 |
| 2.977 | 30.02 | 17 | 1 1 2 |
| 2.716 | 32.97 | 35 | 2 0 2 |
| 2.216 | 40.72 | 29 | 3 0 0 |
| 1.918 | 47.40 | 18 | 2 2 0 |